The following is a calculated powder diffractogram of BaNaPt10. It was derived from a DFT-relaxed cell (PBE, Alexandria), using Cu Kα (λ = 1.5418 Å).
Peak positions follow from Bragg's law for the DFT cell and can differ from measured ones.

Structure:
```
BaNaPt10
1.0
4.394 0.000 0.000
0.000 5.489 0.000
0.000 0.000 9.505
Ba Na Pt
1 1 10
Direct
0.000 0.000 0.000
0.000 0.500 0.500
0.000 0.000 0.343
0.000 0.000 0.657
0.000 0.500 0.180
0.000 0.500 0.820
0.500 0.000 0.500
0.500 0.251 0.255
0.500 0.251 0.745
0.500 0.500 0.000
0.500 0.749 0.255
0.500 0.749 0.745
```

Most intense lines, 2θ = 10–90°, by angle:
2θ/deg  I (rel.)
18.67  68
37.86  27
38.69  100
41.09  36
43.28  82
57.09  17
62.30  24
68.37  23
76.38  16
82.97  28